Record 1
For Sm5AsSe4, a DFT-relaxed cell (GGA-PBE, Alexandria) gives the simulated XRD peak list in this record (Cu Kα X-rays).

Principal peaks in the range 10° ≤ 2θ ≤ 90°, in order of rising 2θ:
2θ 26.1, rel. 18; 2θ 30.2, rel. 100; 2θ 43.3, rel. 74; 2θ 51.2, rel. 9; 2θ 53.7, rel. 26; 2θ 62.9, rel. 12; 2θ 69.2, rel. 4; 2θ 71.3, rel. 33; 2θ 79.4, rel. 25; 2θ 85.2, rel. 1; 2θ 85.3, rel. 1

Atomic structure:
Cell lengths 15.0912, 15.0912, 15.0912 Å; angles 164.08, 164.08, 22.59 degrees
Fractional positions:
Sm1 0.0000 0.0000 0.0000
Sm2 0.2018 0.2018 0.0000
Sm3 0.4023 0.4023 0.0000
Sm4 0.5977 0.5977 0.0000
Sm5 0.7982 0.7982 0.0000
As1 0.5000 0.5000 0.0000
Se1 0.1009 0.1009 0.0000
Se2 0.3013 0.3013 0.0000
Se3 0.6987 0.6987 0.0000
Se4 0.8991 0.8991 0.0000

Record 2
For Sm4AsSe4, a DFT-relaxed cell (GGA-PBE, Alexandria) gives the simulated XRD peak list in this record (Cu Kα X-rays).

Principal peaks in the range 10° ≤ 2θ ≤ 90°, in order of rising 2θ:
2θ 13.0, rel. 10; 2θ 26.1, rel. 10; 2θ 30.0, rel. 100; 2θ 30.4, rel. 48; 2θ 42.8, rel. 18; 2θ 43.1, rel. 55; 2θ 43.4, rel. 36; 2θ 53.2, rel. 10; 2θ 53.6, rel. 30; 2θ 62.4, rel. 12; 2θ 70.8, rel. 9; 2θ 79.1, rel. 9

Atomic structure:
Cell lengths 7.2726, 7.2726, 10.3261 Å; angles 118.87, 118.87, 33.53 degrees
Fractional positions:
Sm1 0.0940 0.0940 0.3967
Sm2 0.2962 0.2962 0.1980
Sm3 0.7038 0.7038 0.8020
Sm4 0.9060 0.9060 0.6033
As1 0.5000 0.5000 0.5000
Se1 0.1057 0.1057 0.8958
Se2 0.3013 0.3013 0.6980
Se3 0.6987 0.6987 0.3020
Se4 0.8943 0.8943 0.1042

Record 3
For Sm6As2Se3, a DFT-relaxed cell (GGA-PBE, Alexandria) gives the simulated XRD peak list in this record (Cu Kα X-rays).

Principal peaks in the range 10° ≤ 2θ ≤ 90°, in order of rising 2θ:
2θ 25.0, rel. 9; 2θ 28.3, rel. 100; 2θ 35.9, rel. 63; 2θ 44.5, rel. 40; 2θ 46.1, rel. 27; 2θ 53.6, rel. 17; 2θ 58.4, rel. 15; 2θ 66.0, rel. 9; 2θ 70.3, rel. 20; 2θ 72.1, rel. 14; 2θ 76.3, rel. 14; 2θ 83.2, rel. 10

Atomic structure:
Cell lengths 7.0499, 7.0499, 7.1181 Å; angles 90.00, 90.00, 120.00 degrees
Fractional positions:
Sm1 0.0000 0.3358 0.2430
Sm2 0.0000 0.6642 0.7570
Sm3 0.3358 0.0000 0.2430
Sm4 0.3358 0.3358 0.7570
Sm5 0.6642 0.0000 0.7570
Sm6 0.6642 0.6642 0.2430
As1 0.3333 0.6667 0.0000
As2 0.6667 0.3333 0.0000
Se1 0.0000 0.0000 0.0000
Se2 0.3333 0.6667 0.5000
Se3 0.6667 0.3333 0.5000

Record 4
For Sm5As4Se, a DFT-relaxed cell (GGA-PBE, Alexandria) gives the simulated XRD peak list in this record (Cu Kα X-rays).

Principal peaks in the range 10° ≤ 2θ ≤ 90°, in order of rising 2θ:
2θ 25.9, rel. 19; 2θ 30.0, rel. 100; 2θ 43.0, rel. 75; 2θ 50.9, rel. 9; 2θ 53.3, rel. 26; 2θ 62.4, rel. 12; 2θ 68.8, rel. 4; 2θ 70.8, rel. 34; 2θ 78.8, rel. 25; 2θ 84.6, rel. 3

Atomic structure:
Cell lengths 7.2891, 7.2891, 7.2891 Å; angles 99.59, 99.59, 131.82 degrees
Fractional positions:
Sm1 0.0000 0.0000 0.0000
Sm2 0.1952 0.6021 0.7973
Sm3 0.3979 0.1952 0.5932
Sm4 0.6021 0.8048 0.4068
Sm5 0.8048 0.3979 0.2027
As1 0.1008 0.2986 0.3994
As2 0.2986 0.8992 0.1978
As3 0.7014 0.1008 0.8022
As4 0.8992 0.7014 0.6006
Se1 0.5000 0.5000 0.0000

Record 5
For Sm4SnAsSe2, a DFT-relaxed cell (GGA-PBE, Alexandria) gives the simulated XRD peak list in this record (Cu Kα X-rays).

Principal peaks in the range 10° ≤ 2θ ≤ 90°, in order of rising 2θ:
2θ 25.5, rel. 9; 2θ 29.6, rel. 100; 2θ 42.3, rel. 50; 2θ 42.4, rel. 25; 2θ 52.3, rel. 7; 2θ 52.4, rel. 13; 2θ 52.5, rel. 7; 2θ 61.3, rel. 12; 2θ 69.4, rel. 11; 2θ 69.6, rel. 23; 2θ 77.3, rel. 13; 2θ 77.5, rel. 6

Atomic structure:
Cell lengths 7.3890, 4.2743, 7.4199 Å; angles 90.00, 109.48, 90.00 degrees
Fractional positions:
Sm1 0.2439 0.0000 0.2416
Sm2 0.2513 0.5000 0.7573
Sm3 0.7487 0.5000 0.2427
Sm4 0.7561 0.0000 0.7584
Sn1 0.0000 0.0000 0.5000
As1 0.0000 0.5000 0.0000
Se1 0.5000 0.0000 0.0000
Se2 0.5000 0.5000 0.5000

Record 6
For Sn5AsSe4, a DFT-relaxed cell (GGA-PBE, Alexandria) gives the simulated XRD peak list in this record (Cu Kα X-rays).

Principal peaks in the range 10° ≤ 2θ ≤ 90°, in order of rising 2θ:
2θ 25.7, rel. 12; 2θ 29.7, rel. 100; 2θ 30.0, rel. 49; 2θ 42.5, rel. 38; 2θ 42.7, rel. 75; 2θ 52.9, rel. 40; 2θ 61.7, rel. 12; 2θ 69.9, rel. 17; 2θ 70.1, rel. 17; 2θ 70.5, rel. 17; 2θ 77.9, rel. 26; 2θ 78.3, rel. 13

Atomic structure:
Cell lengths 7.3574, 7.3574, 7.3574 Å; angles 99.45, 99.45, 132.20 degrees
Fractional positions:
Sn1 0.0000 0.0000 0.0000
Sn2 0.2098 0.5985 0.8083
Sn3 0.4015 0.2098 0.6113
Sn4 0.5985 0.7902 0.3887
Sn5 0.7902 0.4015 0.1917
As1 0.5000 0.5000 0.0000
Se1 0.1020 0.2982 0.4002
Se2 0.2982 0.8980 0.1962
Se3 0.7018 0.1020 0.8038
Se4 0.8980 0.7018 0.5998

Record 7
For Sn4AsSe3, a DFT-relaxed cell (GGA-PBE, Alexandria) gives the simulated XRD peak list in this record (Cu Kα X-rays).

Principal peaks in the range 10° ≤ 2θ ≤ 90°, in order of rising 2θ:
2θ 25.9, rel. 6; 2θ 29.9, rel. 100; 2θ 42.6, rel. 25; 2θ 42.7, rel. 13; 2θ 42.9, rel. 37; 2θ 52.8, rel. 7; 2θ 53.2, rel. 20; 2θ 62.2, rel. 8; 2θ 70.4, rel. 6; 2θ 70.6, rel. 11; 2θ 78.4, rel. 9; 2θ 78.6, rel. 11

Atomic structure:
Cell lengths 7.3625, 8.4294, 7.3004 Å; angles 90.00, 109.48, 90.00 degrees
Fractional positions:
Sn1 0.2376 0.1179 0.0018
Sn2 0.2376 0.8821 0.5018
Sn3 0.2489 0.3698 0.4945
Sn4 0.2489 0.6302 0.9945
Sn5 0.7511 0.3698 0.0055
Sn6 0.7511 0.6302 0.5055
Sn7 0.7624 0.1179 0.4982
Sn8 0.7624 0.8821 0.9982
As1 0.0000 0.1251 0.2500
As2 0.0000 0.8749 0.7500
Se1 0.0000 0.3748 0.7500
Se2 0.0000 0.6252 0.2500
Se3 0.5000 0.1256 0.7500
Se4 0.5000 0.3750 0.2500
Se5 0.5000 0.6250 0.7500
Se6 0.5000 0.8744 0.2500

Record 8
For Sn4As2Se3, a DFT-relaxed cell (GGA-PBE, Alexandria) gives the simulated XRD peak list in this record (Cu Kα X-rays).

Principal peaks in the range 10° ≤ 2θ ≤ 90°, in order of rising 2θ:
2θ 15.9, rel. 51; 2θ 17.7, rel. 90; 2θ 23.5, rel. 37; 2θ 29.2, rel. 89; 2θ 31.0, rel. 86; 2θ 31.1, rel. 99; 2θ 31.9, rel. 100; 2θ 33.5, rel. 60; 2θ 35.0, rel. 36; 2θ 39.7, rel. 37; 2θ 45.0, rel. 51; 2θ 50.7, rel. 41

Atomic structure:
Cell lengths 8.9012, 8.9012, 11.3622 Å; angles 100.14, 100.14, 37.87 degrees
Fractional positions:
Sn1 0.0059 0.8502 0.5954
Sn2 0.1498 0.9941 0.9046
Sn3 0.3238 0.3286 0.7817
Sn4 0.3286 0.3238 0.2817
Sn5 0.6714 0.6762 0.7183
Sn6 0.6762 0.6714 0.2183
Sn7 0.8502 0.0059 0.0954
Sn8 0.9941 0.1498 0.4046
As1 0.1964 0.4131 0.5234
As2 0.4131 0.1964 0.0234
As3 0.5869 0.8036 0.9766
As4 0.8036 0.5869 0.4766
Se1 0.1412 0.1646 0.7181
Se2 0.1646 0.1412 0.2181
Se3 0.4276 0.5724 0.7500
Se4 0.5724 0.4276 0.2500
Se5 0.8354 0.8588 0.7819
Se6 0.8588 0.8354 0.2819